Mn5CrP6O24: theoretical XRD peak list (Cu Kα (weighted mean of Kα1 and Kα2)), based on the GGA+U geometry in Alexandria.
Neutral-atom scattering factors, no anomalous dispersion.

Structure:
Unit cell a=8.5666 b=8.5666 c=21.1490 alpha=90.00 beta=90.00 gamma=120.00
Space group R3 (No. 146, hexagonal axes)
Asymmetric unit:
Mn 0.0000 0.0000 0.0000
Mn 0.0000 0.0000 0.1432
Mn 0.0000 0.0000 0.2875
Mn 0.0000 0.0000 0.5002
Mn 0.0000 0.0000 0.6440
Cr 0.0000 0.0000 0.7861
P 0.0004 0.2916 0.8944
P 0.0005 0.7113 0.3935
O 0.0006 0.8085 0.3324
O 0.0049 0.1988 0.8340
O 0.0126 0.1802 0.5653
O 0.0258 0.8386 0.0655
O 0.1399 0.4630 0.6226
O 0.1396 0.6685 0.1216
O 0.1694 0.6892 0.3881
O 0.1760 0.4836 0.8903

The 8 most intense peaks (5 to 70 degrees two-theta), by angle:
(1 1 0), 2θ = 20.74°, I = 80.0; (1 1 3), 2θ = 24.31°, I = 100.0; (1 1 6), 2θ = 32.91°, I = 67.3; (3 0 0), 2θ = 36.32°, I = 36.5; (1 2 8), 2θ = 47.25°, I = 30.6; (4 -2 6), 2θ = 49.82°, I = 25.0; (4 1 0), 2θ = 56.87°, I = 25.0; (5 -1 6), 2θ = 63.20°, I = 17.8